No. 1
# Cs2GeSe3
Computed powder diffraction line list, Cu Kα. Input: a crystal structure in Alexandria, relaxed with PBE.

Atomic structure:
abc: 8.282 8.282 10.726
angles: 120.95 120.95 54.20
Positions (direct):
Cs (0.086, 0.086, 0.368)
Cs (0.306, 0.306, 0.179)
Cs (0.694, 0.694, 0.821)
Cs (0.914, 0.914, 0.632)
Ge (0.384, 0.384, 0.821)
Ge (0.616, 0.616, 0.179)
Se (0.209, 0.209, 0.776)
Se (0.259, 0.741, 0.000)
Se (0.390, 0.390, 0.609)
Se (0.610, 0.610, 0.391)
Se (0.741, 0.259, 0.000)
Se (0.791, 0.791, 0.224)

Top 12 peaks for 2θ from 10° to 90°, sorted by position:
22.86 deg, I = 19
23.58 deg, I = 46
25.10 deg, I = 100
27.94 deg, I = 14
29.49 deg, I = 11
31.30 deg, I = 20
31.46 deg, I = 21
32.64 deg, I = 19
34.71 deg, I = 33
39.70 deg, I = 24
48.24 deg, I = 13
55.14 deg, I = 20


No. 2
# La2FeGe5
Computed powder diffraction line list, Cu Kα. Input: a crystal structure in Alexandria, relaxed with PBE.

Atomic structure:
abc: 6.346 6.346 6.346
angles: 122.55 122.55 85.63
Positions (direct):
La (0.000, 0.500, 0.500)
La (0.500, 0.000, 0.500)
Fe (0.205, 0.205, 0.000)
Ge (0.521, 0.521, 0.553)
Ge (0.521, 0.968, 0.000)
Ge (0.954, 0.954, 0.000)
Ge (0.968, 0.521, 0.000)
Ge (0.968, 0.968, 0.447)

Top 12 peaks for 2θ from 10° to 90°, sorted by position:
17.38 deg, I = 14
28.21 deg, I = 40
35.18 deg, I = 100
38.69 deg, I = 25
41.89 deg, I = 43
44.21 deg, I = 16
51.28 deg, I = 13
58.33 deg, I = 26
60.74 deg, I = 13
67.76 deg, I = 13
72.17 deg, I = 19
74.37 deg, I = 11


No. 3
# CuI3Br9
Computed powder diffraction line list, Cu Kα. Input: a crystal structure in Alexandria, relaxed with PBE.

Atomic structure:
abc: 11.082 11.082 13.660
angles: 122.49 122.49 60.26
Positions (direct):
Cu (0.006, 0.994, 0.500)
Cu (0.994, 0.006, 0.000)
I (0.116, 0.491, 0.238)
I (0.261, 0.744, 0.756)
I (0.491, 0.116, 0.738)
I (0.518, 0.877, 0.269)
I (0.744, 0.261, 0.256)
I (0.877, 0.518, 0.769)
Br (0.012, 0.160, 0.438)
Br (0.030, 0.245, 0.175)
Br (0.160, 0.012, 0.938)
Br (0.194, 0.732, 0.349)
Br (0.245, 0.030, 0.675)
Br (0.280, 0.797, 0.158)
Br (0.348, 0.502, 0.580)
Br (0.502, 0.348, 0.080)
Br (0.505, 0.660, 0.933)
Br (0.505, 0.996, 0.503)
Br (0.660, 0.505, 0.433)
Br (0.732, 0.194, 0.849)
Br (0.760, 0.972, 0.335)
Br (0.797, 0.280, 0.658)
Br (0.842, 0.993, 0.072)
Br (0.972, 0.760, 0.835)
Br (0.993, 0.842, 0.572)
Br (0.996, 0.505, 0.003)

Top 12 peaks for 2θ from 10° to 90°, sorted by position:
15.89 deg, I = 37
16.23 deg, I = 100
17.97 deg, I = 38
18.47 deg, I = 31
23.06 deg, I = 50
24.89 deg, I = 34
25.42 deg, I = 28
27.56 deg, I = 35
32.59 deg, I = 46
34.79 deg, I = 30
40.34 deg, I = 30
43.15 deg, I = 34


No. 4
# Tb2GeRu
Computed powder diffraction line list, Cu Kα. Input: a crystal structure in Alexandria, relaxed with PBE.

Atomic structure:
abc: 3.877 5.847 5.847
angles: 42.71 90.00 90.00
Positions (direct):
Tb (0.000, 0.000, 0.000)
Tb (0.500, 0.281, 0.281)
Ge (0.000, 0.704, 0.704)
Ru (0.500, 0.551, 0.551)

Top 12 peaks for 2θ from 10° to 90°, sorted by position:
28.26 deg, I = 17
32.29 deg, I = 100
32.41 deg, I = 40
32.90 deg, I = 28
40.08 deg, I = 54
40.49 deg, I = 20
42.46 deg, I = 27
46.87 deg, I = 20
58.14 deg, I = 15
63.68 deg, I = 14
65.08 deg, I = 15
82.70 deg, I = 16